Starting from a structure optimized by DFT (PBE), the powder X-ray diffraction pattern of Ta2OsPt was calculated for CuKα.
Lines closer than 0.1° are merged.

Main lines, sorted by position (2θ = 10–90°):
Position (°2θ)  I_rel
38.51  100
38.97  97
43.91  69
47.23  28
66.45  41
76.80  27

Atomic structure:
```
data_Ta2OsPt
_cell_length_a 5.781
_cell_length_b 7.698
_cell_length_c 2.943
_cell_angle_alpha 90.00
_cell_angle_beta 90.00
_cell_angle_gamma 90.00
_space_group_name_H-M_alt 'C m m m'
_space_group_IT_number 65
_space_group_name_Hall '-C 2 2'
loop_
_atom_site_label
_atom_site_fract_x
_atom_site_fract_y
_atom_site_fract_z
Ta1 0.250 0.250 0.000
Os1 0.000 0.000 0.500
Pt1 0.000 0.500 0.500
```

***

Starting from a structure optimized by DFT (PBE), the powder X-ray diffraction pattern of Tb16B4Br23 was calculated for CuKα.
Lines closer than 0.1° are merged.

Main lines, sorted by position (2θ = 10–90°):
Position (°2θ)  I_rel
10.78  21
11.09  19
31.02  48
31.16  100
44.24  31
44.85  31

Atomic structure:
```
data_Tb16B4Br23
_cell_length_a 17.846
_cell_length_b 12.168
_cell_length_c 12.190
_cell_angle_alpha 90.00
_cell_angle_beta 104.21
_cell_angle_gamma 90.00
_space_group_name_H-M_alt 'C 1 2/m 1'
_space_group_IT_number 12
loop_
_space_group_symop_operation_xyz
'x,y,z'
'-x,-y,-z'
'-x,y,-z'
'x,-y,z'
'x+1/2,y+1/2,z'
'-x+1/2,-y+1/2,-z'
'-x+1/2,y+1/2,-z'
'x+1/2,-y+1/2,z'
loop_
_atom_site_label
_atom_site_fract_x
_atom_site_fract_y
_atom_site_fract_z
Tb1 0.003 0.193 0.350
Tb2 0.006 0.500 0.648
Tb3 0.148 0.351 0.562
Tb4 0.162 0.353 0.869
Tb5 0.189 0.000 0.228
B1 0.000 0.331 0.500
B2 0.166 0.500 0.726
Br1 0.000 0.000 0.500
Br2 0.003 0.335 0.167
Br3 0.015 0.000 0.194
Br4 0.162 0.165 0.722
Br5 0.163 0.500 0.048
Br6 0.167 0.500 0.386
Br7 0.172 0.169 0.395
Br8 0.172 0.170 0.060
```